[1]
# TbGa2Ni3
Simulated powder diffractogram, a wavelength of 1.5418 Å. Input: a DFT-relaxed cell (PBE, the Materials Project).
Neutral-atom scattering factors, no anomalous dispersion.

Largest 10 diffraction maxima, by angle, 2θ from 10° to 90°:
| two_theta | d/Å | I_rel |
| --- | --- | --- |
| 24.7 | 3.610 | 203 |
| 32.2 | 2.781 | 734 |
| 35.7 | 2.517 | 415 |
| 38.4 | 2.345 | 1000 |
| 41.4 | 2.180 | 625 |
| 42.1 | 2.147 | 712 |
| 44.1 | 2.055 | 545 |
| 47.2 | 1.926 | 337 |
| 57.9 | 1.592 | 204 |
| 62.1 | 1.495 | 367 |

Structural model:
Cell lengths 4.1104, 8.7169, 8.7169 Å; angles 119.92, 90.00, 90.00 degrees
Fractional coordinates of all 18 atoms:
Tb1 0.0000 0.0000 0.0000
Tb2 0.5000 0.3334 0.6665
Tb3 0.5000 0.6665 0.3334
Ga1 0.0000 0.9998 0.4821
Ga2 0.0000 0.4821 0.9998
Ga3 0.0000 0.5175 0.5175
Ga4 0.5000 0.9999 0.7308
Ga5 0.5000 0.2692 0.2692
Ga6 0.5000 0.7308 0.9999
Ni1 0.0000 0.1739 0.8030
Ni2 0.0000 0.1967 0.3705
Ni3 0.0000 0.3705 0.1967
Ni4 0.0000 0.6296 0.8258
Ni5 0.0000 0.8030 0.1739
Ni6 0.0000 0.8258 0.6296
Ni7 0.5000 0.9997 0.2969
Ni8 0.5000 0.2969 0.9997
Ni9 0.5000 0.7020 0.7020

[2]
# LiAl3
Simulated powder diffractogram, a wavelength of 1.5418 Å. Input: a DFT-relaxed cell (PBE, the Materials Project).
Neutral-atom scattering factors, no anomalous dispersion.

Largest 10 diffraction maxima, by angle, 2θ from 10° to 90°:
| two_theta | d/Å | I_rel |
| --- | --- | --- |
| 22.1 | 4.026 | 228 |
| 31.4 | 2.847 | 176 |
| 38.7 | 2.324 | 1000 |
| 45.0 | 2.013 | 482 |
| 50.7 | 1.800 | 86 |
| 56.0 | 1.643 | 64 |
| 65.6 | 1.423 | 310 |
| 70.1 | 1.342 | 41 |
| 78.9 | 1.214 | 361 |
| 83.1 | 1.162 | 105 |

Structural model:
Cell lengths 4.0256, 4.0256, 4.0256 Å; angles 90.00, 90.00, 90.00 degrees
Fractional coordinates of all 4 atoms:
Li1 0.0000 0.0000 0.0000
Al1 0.0000 0.5000 0.5000
Al2 0.5000 0.0000 0.5000
Al3 0.5000 0.5000 0.0000